# NaHg2S8
Computed XRD peak list, λ = 1.5418 Å (Cu Kα). Input: a structure optimized by DFT (GGA-PBE).

The 10 most intense peaks (5 to 70 degrees two-theta), sorted by position:
8.505 Å, rel. 100
7.474 Å, rel. 31
4.718 Å, rel. 66
4.252 Å, rel. 19
3.419 Å, rel. 34
3.250 Å, rel. 27
3.120 Å, rel. 22
2.700 Å, rel. 21
2.507 Å, rel. 19
2.450 Å, rel. 17

Structural model:
```
data_NaHg2S8
_space_group_name_H-M_alt 'P -1'
_space_group_IT_number 2
_cell_length_a 4.5381
_cell_length_b 8.4648
_cell_length_c 9.3697
_cell_angle_alpha 114.08
_cell_angle_beta 90.03
_cell_angle_gamma 103.42
loop_
_space_group_symop_operation_xyz
'x,y,z'
'-x,-y,-z'
loop_
_atom_site_label
_atom_site_type_symbol
_atom_site_fract_x
_atom_site_fract_y
_atom_site_fract_z
_atom_site_occupancy
Na1 Na 0.0000 0.0000 0.0000 1
Hg1 Hg 0.2984 0.6209 0.9335 1
S1 S 0.1430 0.2881 0.9139 1
S2 S 0.2559 0.7656 0.5897 1
S3 S 0.3701 0.0146 0.6058 1
S4 S 0.4454 0.2673 0.2658 1
```

***

# Na6HgS4
Computed XRD peak list, λ = 1.5418 Å (Cu Kα). Input: a structure optimized by DFT (GGA-PBE).

The 10 most intense peaks (5 to 70 degrees two-theta), sorted by position:
7.281 Å, rel. 39
7.186 Å, rel. 100
4.185 Å, rel. 36
3.965 Å, rel. 28
3.141 Å, rel. 31
2.861 Å, rel. 49
2.747 Å, rel. 23
2.591 Å, rel. 58
2.290 Å, rel. 22
1.938 Å, rel. 21

Structural model:
```
data_Na6HgS4
_space_group_name_H-M_alt 'I m m 2'
_space_group_IT_number 44
_cell_length_a 4.1210
_cell_length_b 14.5611
_cell_length_c 8.2619
_cell_angle_alpha 90.00
_cell_angle_beta 90.00
_cell_angle_gamma 90.00
loop_
_space_group_symop_operation_xyz
'x,y,z'
'-x,-y,z'
'-x,y,z'
'x,-y,z'
'x+1/2,y+1/2,z+1/2'
'-x+1/2,-y+1/2,z+1/2'
'-x+1/2,y+1/2,z+1/2'
'x+1/2,-y+1/2,z+1/2'
loop_
_atom_site_label
_atom_site_type_symbol
_atom_site_fract_x
_atom_site_fract_y
_atom_site_fract_z
_atom_site_occupancy
Na1 Na 0.0000 0.1189 0.0000 1
Na2 Na 0.0000 0.3105 0.7873 1
Na3 Na 0.0000 0.3604 0.1701 1
Hg1 Hg 0.0000 0.0000 0.4265 1
S1 S 0.0000 0.0000 0.7250 1
S2 S 0.0000 0.2501 0.4728 1
S3 S 0.0000 0.5000 0.7301 1
```

***

# Na2TaHgS4
Computed XRD peak list, λ = 1.5418 Å (Cu Kα). Input: a structure optimized by DFT (GGA-PBE).

The 10 most intense peaks (5 to 70 degrees two-theta), sorted by position:
5.510 Å, rel. 86
3.548 Å, rel. 100
3.387 Å, rel. 22
2.696 Å, rel. 24
2.283 Å, rel. 19
2.186 Å, rel. 19
2.166 Å, rel. 37
1.861 Å, rel. 31
1.837 Å, rel. 20
1.406 Å, rel. 17

Structural model:
```
data_Na2TaHgS4
_space_group_name_H-M_alt 'I -4'
_space_group_IT_number 82
_cell_length_a 6.1830
_cell_length_b 6.1830
_cell_length_c 12.1443
_cell_angle_alpha 90.00
_cell_angle_beta 90.00
_cell_angle_gamma 90.00
loop_
_space_group_symop_operation_xyz
'x,y,z'
'y,-x,-z'
'-x,-y,z'
'-y,x,-z'
'x+1/2,y+1/2,z+1/2'
'y+1/2,-x+1/2,-z+1/2'
'-x+1/2,-y+1/2,z+1/2'
'-y+1/2,x+1/2,-z+1/2'
loop_
_atom_site_label
_atom_site_type_symbol
_atom_site_fract_x
_atom_site_fract_y
_atom_site_fract_z
_atom_site_occupancy
Na1 Na 0.0000 0.0000 0.0000 1
Na2 Na 0.0000 0.5000 0.2500 1
Ta1 Ta 0.0000 0.5000 0.7500 1
Hg1 Hg 0.0000 0.0000 0.5000 1
S1 S 0.2145 0.2854 0.6408 1
```

***

# NaHg2TeS4
Computed XRD peak list, λ = 1.5418 Å (Cu Kα). Input: a structure optimized by DFT (GGA-PBE).

The 10 most intense peaks (5 to 70 degrees two-theta), sorted by position:
6.537 Å, rel. 64
3.464 Å, rel. 100
3.268 Å, rel. 92
3.111 Å, rel. 77
3.096 Å, rel. 83
2.615 Å, rel. 56
2.194 Å, rel. 54
1.998 Å, rel. 46
1.891 Å, rel. 28
1.732 Å, rel. 28

Structural model:
```
data_NaHg2TeS4
_space_group_name_H-M_alt 'C 1 2/c 1'
_space_group_IT_number 15
_cell_length_a 10.4976
_cell_length_b 12.3831
_cell_length_c 7.8136
_cell_angle_alpha 90.00
_cell_angle_beta 127.22
_cell_angle_gamma 90.00
loop_
_space_group_symop_operation_xyz
'x,y,z'
'-x,-y,-z'
'-x,y,-z+1/2'
'x,-y,z+1/2'
'x+1/2,y+1/2,z'
'-x+1/2,-y+1/2,-z'
'-x+1/2,y+1/2,-z+1/2'
'x+1/2,-y+1/2,z+1/2'
loop_
_atom_site_label
_atom_site_type_symbol
_atom_site_fract_x
_atom_site_fract_y
_atom_site_fract_z
_atom_site_occupancy
Na1 Na 0.2500 0.2500 0.0000 1
Hg1 Hg 0.0000 0.0000 0.0000 1
Hg2 Hg 0.2500 0.2500 0.5000 1
Te1 Te 0.0000 0.5000 0.0000 1
S1 S 0.0369 0.2867 0.5249 1
S2 S 0.2082 0.0257 0.8817 1
```

***

# NaHg6Sb2
Computed XRD peak list, λ = 1.5418 Å (Cu Kα). Input: a structure optimized by DFT (GGA-PBE).

The 10 most intense peaks (5 to 70 degrees two-theta), sorted by position:
3.016 Å, rel. 58
2.933 Å, rel. 30
2.904 Å, rel. 100
2.877 Å, rel. 22
2.744 Å, rel. 22
2.645 Å, rel. 21
2.307 Å, rel. 24
2.206 Å, rel. 34
2.117 Å, rel. 24
1.867 Å, rel. 19

Structural model:
```
data_NaHg6Sb2
_space_group_name_H-M_alt 'C 1 2/c 1'
_space_group_IT_number 15
_cell_length_a 11.2210
_cell_length_b 7.4721
_cell_length_c 12.7759
_cell_angle_alpha 90.00
_cell_angle_beta 103.49
_cell_angle_gamma 90.00
loop_
_space_group_symop_operation_xyz
'x,y,z'
'-x,-y,-z'
'-x,y,-z+1/2'
'x,-y,z+1/2'
'x+1/2,y+1/2,z'
'-x+1/2,-y+1/2,-z'
'-x+1/2,y+1/2,-z+1/2'
'x+1/2,-y+1/2,z+1/2'
loop_
_atom_site_label
_atom_site_type_symbol
_atom_site_fract_x
_atom_site_fract_y
_atom_site_fract_z
_atom_site_occupancy
Na1 Na 0.0000 0.0361 0.2500 1
Hg1 Hg 0.1243 0.3134 0.4310 1
Hg2 Hg 0.1377 0.1085 0.0071 1
Hg3 Hg 0.2314 0.3267 0.2219 1
Sb1 Sb 0.0636 0.3789 0.6626 1
```

***

# Na5Hg4Sb
Computed XRD peak list, λ = 1.5418 Å (Cu Kα). Input: a structure optimized by DFT (GGA-PBE).

The 10 most intense peaks (5 to 70 degrees two-theta), sorted by position:
11.451 Å, rel. 100
4.511 Å, rel. 22
4.392 Å, rel. 32
3.817 Å, rel. 50
2.746 Å, rel. 22
2.638 Å, rel. 71
2.620 Å, rel. 35
2.571 Å, rel. 31
2.177 Å, rel. 22
2.161 Å, rel. 45

Structural model:
```
data_Na5Hg4Sb
_space_group_name_H-M_alt 'C 1 m 1'
_space_group_IT_number 8
_cell_length_a 9.1581
_cell_length_b 5.2399
_cell_length_c 11.8273
_cell_angle_alpha 90.00
_cell_angle_beta 104.49
_cell_angle_gamma 90.00
loop_
_space_group_symop_operation_xyz
'x,y,z'
'x,-y,z'
'x+1/2,y+1/2,z'
'x+1/2,-y+1/2,z'
loop_
_atom_site_label
_atom_site_type_symbol
_atom_site_fract_x
_atom_site_fract_y
_atom_site_fract_z
_atom_site_occupancy
Na1 Na 0.0000 0.0000 0.0000 1
Na2 Na 0.0277 0.5000 0.5725 1
Na3 Na 0.1213 0.5000 0.8601 1
Na4 Na 0.2135 0.5000 0.1412 1
Na5 Na 0.4313 0.0000 0.2894 1
Hg1 Hg 0.1412 0.0000 0.4149 1
Hg2 Hg 0.2407 0.0000 0.7203 1
Hg3 Hg 0.3121 0.5000 0.4244 1
Hg4 Hg 0.4047 0.5000 0.7064 1
Sb1 Sb 0.3367 0.0000 0.0139 1
```